# Mn15O32
Simulated X-ray diffraction stick pattern, λ = 1.5418 Å (Cu Kα). Input: a GGA+U-relaxed structure.
Intensities are scaled so that the largest is 100.

Most intense lines, 2θ from 15° to 90°, in order of rising 2θ:
(hkl)	d_spacing	2θ/deg	I (rel.)
2 0 -2	4.753	18.67	100
0 2 4	2.483	36.18	29
4 0 -4	2.377	37.85	7
4 0 4	2.063	43.89	17
2 2 -6	2.056	44.04	33
4 2 0	1.889	48.16	7
4 2 -8	1.583	58.28	9
2 2 10	1.456	63.95	21
2 4 -2	1.390	67.34	6
0 0 16	1.188	80.89	7

Crystal structure
Cell lengths 10.096, 5.818, 19.287 Å; angles 90.00, 99.85, 90.00 degrees
Space group C2/m (No. 12)
Symmetry-distinct sites (fractional):
Mn  0.000  0.000  0.000 [2 per cell]
Mn  0.001  0.250  0.749 [8 per cell]
Mn  0.123  0.500  0.377 [4 per cell]
Mn  0.125  0.000  0.875 [4 per cell]
Mn  0.249  0.500  0.251 [4 per cell]
Mn  0.250  0.250  0.000 [4 per cell]
Mn  0.250  0.250  0.500 [4 per cell]
O  0.043  0.000  0.192 [4 per cell]
O  0.045  0.500  0.690 [4 per cell]
O  0.066  0.500  0.199 [4 per cell]
O  0.067  0.000  0.698 [4 per cell]
O  0.074  0.221  0.941 [8 per cell]
O  0.081  0.271  0.439 [8 per cell]
O  0.175  0.279  0.309 [8 per cell]
O  0.177  0.220  0.808 [8 per cell]
O  0.183  0.000  0.051 [4 per cell]
O  0.203  0.500  0.554 [4 per cell]
O  0.205  0.000  0.560 [4 per cell]
O  0.206  0.500  0.059 [4 per cell]